Starting from a GGA-PBE-relaxed structure, the XRD peak list of Ho4As2C was simulated for Cu Ka.
Neutral-atom scattering factors, no anomalous dispersion.

Principal peaks in the range 5 to 70 degrees two-theta, by angle:
hkl 2 0 1, 25.82 deg, 3.450 Å, I = 42
hkl 1 1 1, 29.91 deg, 2.988 Å, I = 78
hkl 4 0 -2, 31.88 deg, 2.807 Å, I = 64
hkl 3 1 -1, 32.72 deg, 2.737 Å, I = 62
hkl 1 1 -2, 33.01 deg, 2.714 Å, I = 100
hkl 2 0 -3, 34.43 deg, 2.605 Å, I = 66
hkl 3 1 0, 34.95 deg, 2.567 Å, I = 93
hkl 0 0 3, 39.13 deg, 2.302 Å, I = 48
hkl 0 2 0, 47.68 deg, 1.907 Å, I = 56
hkl 6 0 -5, 63.37 deg, 1.468 Å, I = 34

Structure:
Unit cell a=11.7987 b=3.8136 c=7.8204 alpha=90.00 beta=118.02 gamma=90.00
Space group C2/m (No. 12)
Asymmetric unit:
Ho 0.0658 0.0000 0.3499 (multiplicity 4)
Ho 0.1507 0.5000 0.0613 (multiplicity 4)
As 0.1524 0.5000 0.6873 (multiplicity 4)
C 0.0000 0.0000 0.0000 (multiplicity 2)

---

Starting from a GGA-PBE-relaxed structure, the XRD peak list of CsRb3Fe4Cl12 was simulated for Cu Ka.
Neutral-atom scattering factors, no anomalous dispersion.

Principal peaks in the range 5 to 70 degrees two-theta, by angle:
hkl 2 1 1, 19.08 deg, 4.650 Å, I = 19
hkl 2 0 2, 19.36 deg, 4.585 Å, I = 100
hkl 2 2 0, 23.31 deg, 3.815 Å, I = 22
hkl 3 1 2, 28.09 deg, 3.177 Å, I = 11
hkl 0 4 2, 30.48 deg, 2.933 Å, I = 13
hkl 0 2 4, 31.19 deg, 2.868 Å, I = 30
hkl 2 2 3, 31.53 deg, 2.837 Å, I = 13
hkl 1 4 3, 37.71 deg, 2.385 Å, I = 11
hkl 4 2 2, 38.73 deg, 2.325 Å, I = 12
hkl 6 0 0, 40.97 deg, 2.203 Å, I = 10

Structure:
Unit cell a=15.2614 b=15.2614 c=12.7316 alpha=90.00 beta=90.00 gamma=120.00
Space group R32 (No. 155, hexagonal axes)
Asymmetric unit:
Cs 0.0000 0.0000 0.0000 (multiplicity 3)
Rb 0.0000 0.5355 0.0000 (multiplicity 9)
Fe 0.0000 0.0000 0.5000 (multiplicity 3)
Fe 0.0000 0.4605 0.5000 (multiplicity 9)
Cl 0.0000 0.6049 0.5000 (multiplicity 9)
Cl 0.0000 0.8557 0.5000 (multiplicity 9)
Cl 0.0151 0.2016 0.1646 (multiplicity 18)

---

Starting from a GGA-PBE-relaxed structure, the XRD peak list of Tb4Dy3Mg was simulated for Cu Ka.
Neutral-atom scattering factors, no anomalous dispersion.

Principal peaks in the range 5 to 70 degrees two-theta, by angle:
hkl 0 0 2, 28.80 deg, 3.100 Å, I = 13
hkl 0 2 1, 29.00 deg, 3.079 Å, I = 24
hkl 4 0 0, 31.84 deg, 2.811 Å, I = 37
hkl 2 0 2, 33.00 deg, 2.715 Å, I = 50
hkl 2 2 1, 33.18 deg, 2.700 Å, I = 100
hkl 4 2 1, 43.60 deg, 2.076 Å, I = 16
hkl 0 2 3, 51.15 deg, 1.786 Å, I = 19
hkl 6 2 1, 57.58 deg, 1.601 Å, I = 20
hkl 4 2 3, 61.52 deg, 1.507 Å, I = 22
hkl 2 4 2, 62.56 deg, 1.485 Å, I = 16

Structure:
Unit cell a=11.2431 b=7.0940 c=6.2000 alpha=90.00 beta=90.00 gamma=90.00
Space group Pmn2_1 (No. 31)
Asymmetric unit:
Tb 0.0000 0.1231 0.0000 (multiplicity 2)
Tb 0.0000 0.8739 0.4785 (multiplicity 2)
Tb 0.2438 0.8720 0.8249 (multiplicity 4)
Dy 0.0000 0.3723 0.4756 (multiplicity 2)
Dy 0.2445 0.3779 0.8145 (multiplicity 4)
Mg 0.0000 0.6203 0.9852 (multiplicity 2)

---

Starting from a GGA-PBE-relaxed structure, the XRD peak list of TaTi5Co2 was simulated for Cu Ka.
Neutral-atom scattering factors, no anomalous dispersion.

Principal peaks in the range 5 to 70 degrees two-theta, by angle:
hkl 0 1 1, 15.80 deg, 5.608 Å, I = 50
hkl 0 2 0, 25.39 deg, 3.508 Å, I = 22
hkl 1 1 2, 32.59 deg, 2.747 Å, I = 72
hkl 1 2 1, 35.80 deg, 2.508 Å, I = 93
hkl 1 0 3, 37.02 deg, 2.428 Å, I = 100
hkl 0 3 1, 39.73 deg, 2.269 Å, I = 21
hkl 2 0 0, 46.76 deg, 1.943 Å, I = 83
hkl 1 3 2, 49.50 deg, 1.841 Å, I = 34
hkl 1 4 3, 65.66 deg, 1.422 Å, I = 21
hkl 2 2 4, 68.28 deg, 1.374 Å, I = 30

Structure:
Unit cell a=3.8857 b=7.0169 c=9.3301 alpha=90.00 beta=90.00 gamma=90.00
Space group Immm (No. 71)
Asymmetric unit:
Ta 0.0000 0.0000 0.0000 (multiplicity 2)
Ti 0.0000 0.2052 0.3511 (multiplicity 8)
Ti 0.0000 0.5000 0.0000 (multiplicity 2)
Co 0.0000 0.5000 0.2755 (multiplicity 4)

---

Starting from a GGA-PBE-relaxed structure, the XRD peak list of Ca7Zn2Sn2 was simulated for Cu Ka.
Neutral-atom scattering factors, no anomalous dispersion.

Principal peaks in the range 5 to 70 degrees two-theta, by angle:
hkl 0 2 1, 19.13 deg, 4.640 Å, I = 84
hkl 2 0 1, 24.66 deg, 3.610 Å, I = 75
hkl 1 1 2, 26.51 deg, 3.362 Å, I = 34
hkl 0 4 0, 30.96 deg, 2.888 Å, I = 59
hkl 1 3 2, 34.55 deg, 2.596 Å, I = 45
hkl 2 2 2, 35.47 deg, 2.531 Å, I = 100
hkl 3 1 1, 35.87 deg, 2.504 Å, I = 23
hkl 0 2 3, 37.99 deg, 2.368 Å, I = 30
hkl 2 4 1, 39.98 deg, 2.255 Å, I = 30
hkl 3 3 1, 42.33 deg, 2.135 Å, I = 43

Structure:
Unit cell a=8.1476 b=11.5527 c=7.7904 alpha=90.00 beta=90.00 gamma=90.00
Space group Cmmm (No. 65)
Asymmetric unit:
Ca 0.0000 0.0000 0.0000 (multiplicity 2)
Ca 0.0000 0.5000 0.2416 (multiplicity 4)
Ca 0.2500 0.2500 0.2736 (multiplicity 8)
Zn 0.0000 0.2867 0.0000 (multiplicity 4)
Sn 0.1820 0.0000 0.5000 (multiplicity 4)

---

Starting from a GGA-PBE-relaxed structure, the XRD peak list of Pr4Nd6Th was simulated for Cu Ka.
Neutral-atom scattering factors, no anomalous dispersion.

Principal peaks in the range 5 to 70 degrees two-theta, by angle:
hkl 0 2 6, 27.29 deg, 3.268 Å, I = 20
hkl 1 1 7, 29.48 deg, 3.030 Å, I = 84
hkl 2 0 0, 29.64 deg, 3.014 Å, I = 100
hkl 0 2 7, 29.97 deg, 2.981 Å, I = 71
hkl 1 3 0, 31.08 deg, 2.877 Å, I = 73
hkl 1 3 1, 31.27 deg, 2.860 Å, I = 98
hkl 1 1 8, 32.36 deg, 2.766 Å, I = 72
hkl 2 2 7, 42.66 deg, 2.120 Å, I = 55
hkl 1 5 6, 53.33 deg, 1.718 Å, I = 18
hkl 3 3 1, 53.63 deg, 1.709 Å, I = 22

Structure:
Unit cell a=6.0280 b=9.8227 c=26.2635 alpha=90.00 beta=90.00 gamma=90.00
Space group Cmcm (No. 63)
Asymmetric unit:
Pr 0.0000 0.0560 0.1232 (multiplicity 8)
Pr 0.0000 0.3532 0.0437 (multiplicity 8)
Nd 0.0000 0.0000 0.0000 (multiplicity 4)
Nd 0.0000 0.0636 0.2500 (multiplicity 4)
Nd 0.0000 0.2945 0.6033 (multiplicity 8)
Nd 0.0000 0.3903 0.1835 (multiplicity 8)
Th 0.0000 0.2774 0.7500 (multiplicity 4)

---

Number 5 is which compound?
Ca7Zn2Sn2